Structure and calculated powder diffractogram of Ga2FeP3O12 (a structure optimized by DFT (GGA+U); CuKα).

Largest 8 diffraction maxima, sorted by position, 2θ = 15–90°:
2θ/deg	I_rel	(hkl)
20.0	19	2 0 0
20.4	23	1 1 0
25.4	50	2 0 -2
25.7	53	1 1 -2
25.9	100	1 1 2
37.8	18	1 1 -4
41.5	17	2 2 0
65.2	13	6 0 -2

Unit cell a=8.858 b=5.001 c=11.339 alpha=90.00 beta=90.65 gamma=90.00
Space group C2 (No. 5)
Asymmetric unit:
Ga: 0.233 0.000 0.163 x4
Fe: 0.000 0.685 0.500 x2
P: 0.000 0.692 0.000 x2
P: 0.231 0.000 0.672 x4
O: 0.054 0.871 0.104 x4
O: 0.079 0.891 0.626 x4
O: 0.129 0.507 0.957 x4
O: 0.154 0.484 0.430 x4
O: 0.207 0.294 0.710 x4
O: 0.208 0.339 0.221 x4